Computed X-ray diffraction stick pattern of BaYMnCoO5 for Cu Kα, 1.54184 Å, from the GGA+U geometry in Alexandria.
Intensities are scaled so that the largest is 100.

Structure:
a b c (Å): 5.596 5.615 7.765
angles (deg): 90.09 90.03 91.01
Space group P1 (No. 1)
Symmetry-distinct sites (fractional):
Ba  0.000  0.000  0.000 [1 per cell]
Ba  0.499  0.502  0.999 [1 per cell]
Y  0.498  0.498  0.490 [1 per cell]
Y  0.999  0.999  0.488 [1 per cell]
Mn  0.499  0.999  0.722 [1 per cell]
Mn  0.999  0.499  0.731 [1 per cell]
Co  0.501  0.001  0.247 [1 per cell]
Co  0.998  0.499  0.254 [1 per cell]
O  0.241  0.764  0.666 [1 per cell]
O  0.243  0.230  0.313 [1 per cell]
O  0.244  0.719  0.306 [1 per cell]
O  0.266  0.258  0.684 [1 per cell]
O  0.499  0.999  0.992 [1 per cell]
O  0.731  0.740  0.684 [1 per cell]
O  0.753  0.277  0.306 [1 per cell]
O  0.755  0.766  0.313 [1 per cell]
O  0.757  0.233  0.666 [1 per cell]
O  0.999  0.499  0.002 [1 per cell]

Peak list (6 most intense, 10° ≤ 2θ ≤ 80°, by angle)
- d 2.807, 31.88°, I 42, (0 2 0)
- d 2.798, 31.99°, I 42, (2 0 0)
- d 2.785, 32.13°, I 100, (1 -1 2)
- d 2.762, 32.42°, I 100, (1 1 -2)
- d 1.999, 45.36°, I 32, (2 -2 0)
- d 1.596, 57.76°, I 32, (0 2 -4)